Entry 1:
Computed X-ray powder pattern of Li3Pa5Se8 for Cu Kα (λ = 1.5418 Å), from a structure optimized by DFT (GGA-PBE).
Lines closer than 0.1° are merged.

Crystal structure
```
data_Li3Pa5Se8
_chemical_formula_sum 'Li9 Pa15 Se24'
_cell_length_a 7.9009
_cell_length_b 7.9009
_cell_length_c 20.3876
_cell_angle_alpha 90.00
_cell_angle_beta 90.00
_cell_angle_gamma 120.00
_space_group_name_H-M_alt 'R -3 m'
_space_group_IT_number 166
_space_group_name_Hall '-R 3 2"'
loop_
_atom_site_label
_atom_site_fract_x
_atom_site_fract_y
_atom_site_fract_z
Li1 0.0000 0.5000 0.0000
Pa1 0.0000 0.0000 0.0000
Pa2 0.0000 0.0000 0.5000
Pa3 0.0000 0.5000 0.5000
Se1 0.0000 0.0000 0.2554
Se2 0.0106 0.5053 0.2557
```

Peak list (10 most intense, 2θ = 10–80°, most intense first)
2θ 31.49, intensity 1000; 2θ 44.32, intensity 385; 2θ 45.95, intensity 356; 2θ 13.03, intensity 285; 2θ 26.42, intensity 230; 2θ 56.77, intensity 189; 2θ 73.53, intensity 168; 2θ 75.91, intensity 163; 2θ 34.21, intensity 153; 2θ 65.75, intensity 120

Entry 2:
Computed X-ray powder pattern of PaB4Ru4 for Cu Kα (λ = 1.5418 Å), from a structure optimized by DFT (GGA-PBE).
Lines closer than 0.1° are merged.

Crystal structure
```
data_PaB4Ru4
_chemical_formula_sum 'Pa2 B8 Ru8'
_cell_length_a 5.3915
_cell_length_b 5.3915
_cell_length_c 7.3286
_cell_angle_alpha 90.00
_cell_angle_beta 90.00
_cell_angle_gamma 90.00
_space_group_name_H-M_alt 'P 42/n m c'
_space_group_IT_number 137
loop_
_space_group_symop_operation_xyz
'x,y,z'
'-x,-y,-z'
'-y+1/2,x,z+1/2'
'y+1/2,-x,-z+1/2'
'-x+1/2,-y+1/2,z'
'x+1/2,y+1/2,-z'
'y,-x+1/2,z+1/2'
'-y,x+1/2,-z+1/2'
'x+1/2,-y,-z'
'-x+1/2,y,z'
'-y,-x,-z+1/2'
'y,x,z+1/2'
'-x,y+1/2,-z'
'x,-y+1/2,z'
'y+1/2,x+1/2,-z+1/2'
'-y+1/2,-x+1/2,z+1/2'
loop_
_atom_site_label
_atom_site_fract_x
_atom_site_fract_y
_atom_site_fract_z
Pa1 0.2500 0.7500 0.2500
B1 0.0817 0.2500 0.0994
Ru1 0.0060 0.7500 0.6068
```

Peak list (10 most intense, 2θ = 10–80°, most intense first)
2θ 39.34, intensity 1000; 2θ 40.54, intensity 653; 2θ 35.48, intensity 476; 2θ 23.33, intensity 367; 2θ 33.93, intensity 300; 2θ 63.49, intensity 257; 2θ 71.41, intensity 245; 2θ 29.47, intensity 244; 2θ 45.01, intensity 226; 2θ 33.23, intensity 169

Entry 3:
Computed X-ray powder pattern of Pa5Bi2Te5 for Cu Kα (λ = 1.5418 Å), from a structure optimized by DFT (GGA-PBE).
Lines closer than 0.1° are merged.

Crystal structure
```
data_Pa5Bi2Te5
_chemical_formula_sum 'Pa10 Bi4 Te10'
_cell_length_a 13.4838
_cell_length_b 4.2242
_cell_length_c 13.7061
_cell_angle_alpha 90.00
_cell_angle_beta 102.45
_cell_angle_gamma 90.00
_space_group_name_H-M_alt 'C 1 2/m 1'
_space_group_IT_number 12
loop_
_space_group_symop_operation_xyz
'x,y,z'
'-x,-y,-z'
'-x,y,-z'
'x,-y,z'
'x+1/2,y+1/2,z'
'-x+1/2,-y+1/2,-z'
'-x+1/2,y+1/2,-z'
'x+1/2,-y+1/2,z'
loop_
_atom_site_label
_atom_site_fract_x
_atom_site_fract_y
_atom_site_fract_z
Pa1 0.0000 0.0000 0.0000
Pa2 0.1404 0.0000 0.4374
Pa3 0.1948 0.5000 0.8187
Bi1 0.0067 0.0000 0.7773
Te1 0.0000 0.5000 0.5000
Te2 0.1638 0.5000 0.0529
Te3 0.2489 0.0000 0.6657
```

Peak list (10 most intense, 2θ = 10–80°, most intense first)
2θ 29.10, intensity 1000; 2θ 36.03, intensity 970; 2θ 30.39, intensity 847; 2θ 31.09, intensity 752; 2θ 42.82, intensity 560; 2θ 27.15, intensity 436; 2θ 29.35, intensity 371; 2θ 26.44, intensity 364; 2θ 22.10, intensity 349; 2θ 21.52, intensity 297

Entry 4:
Computed X-ray powder pattern of Cs2ErCl5 for Cu Kα (λ = 1.5418 Å), from a structure optimized by DFT (GGA-PBE).
Lines closer than 0.1° are merged.

Crystal structure
```
data_Cs2ErCl5
_chemical_formula_sum 'Cs8 Er4 Cl20'
_cell_length_a 9.7765
_cell_length_b 7.5330
_cell_length_c 15.4639
_cell_angle_alpha 90.00
_cell_angle_beta 90.00
_cell_angle_gamma 90.00
_space_group_name_H-M_alt 'P n m a'
_space_group_IT_number 62
loop_
_space_group_symop_operation_xyz
'x,y,z'
'-x,-y,-z'
'-x+1/2,-y,z+1/2'
'x+1/2,y,-z+1/2'
'x+1/2,-y+1/2,-z+1/2'
'-x+1/2,y+1/2,z+1/2'
'-x,y+1/2,-z'
'x,-y+1/2,z'
loop_
_atom_site_label
_atom_site_fract_x
_atom_site_fract_y
_atom_site_fract_z
Cs1 0.0273 0.2500 0.2122
Cs2 0.1627 0.7500 0.4151
Er1 0.1769 0.7500 0.0631
Cl1 0.0000 0.0000 0.0000
Cl2 0.0228 0.7500 0.1989
Cl3 0.1684 0.5011 0.6160
Cl4 0.2173 0.2500 0.4069
```

Peak list (10 most intense, 2θ = 10–80°, most intense first)
2θ 20.88, intensity 1000; 2θ 23.62, intensity 540; 2θ 32.16, intensity 535; 2θ 21.51, intensity 427; 2θ 24.57, intensity 388; 2θ 30.51, intensity 377; 2θ 34.74, intensity 370; 2θ 21.67, intensity 351; 2θ 47.74, intensity 342; 2θ 22.43, intensity 292

Entry 5:
Computed X-ray powder pattern of CeReP2Os for Cu Kα (λ = 1.5418 Å), from a structure optimized by DFT (GGA-PBE).
Lines closer than 0.1° are merged.

Crystal structure
```
data_CeReP2Os
_chemical_formula_sum 'Ce2 Re2 P4 Os2'
_cell_length_a 4.1518
_cell_length_b 4.1518
_cell_length_c 9.7348
_cell_angle_alpha 90.00
_cell_angle_beta 90.00
_cell_angle_gamma 90.00
_space_group_name_H-M_alt 'I -4 m 2'
_space_group_IT_number 119
_space_group_name_Hall 'I -4 -2'
loop_
_atom_site_label
_atom_site_fract_x
_atom_site_fract_y
_atom_site_fract_z
Ce1 0.0000 0.0000 0.0000
Re1 0.0000 0.5000 0.7500
P1 0.0000 0.0000 0.3684
Os1 0.0000 0.5000 0.2500
```

Peak list (10 most intense, 2θ = 10–80°, most intense first)
2θ 35.72, intensity 1000; 2θ 43.60, intensity 366; 2θ 18.23, intensity 285; 2θ 74.91, intensity 236; 2θ 58.43, intensity 197; 2θ 65.76, intensity 185; 2θ 36.94, intensity 181; 2θ 35.10, intensity 145; 2θ 48.59, intensity 139; 2θ 63.36, intensity 121

Entry 6:
Computed X-ray powder pattern of Al4CoNi2 for Cu Kα (λ = 1.5418 Å), from a structure optimized by DFT (GGA-PBE).
Lines closer than 0.1° are merged.

Crystal structure
```
data_Al4CoNi2
_chemical_formula_sum 'Al12 Co3 Ni6'
_cell_length_a 4.0426
_cell_length_b 4.0426
_cell_length_c 19.5454
_cell_angle_alpha 90.00
_cell_angle_beta 90.00
_cell_angle_gamma 120.00
_space_group_name_H-M_alt 'R -3 m'
_space_group_IT_number 166
_space_group_name_Hall '-R 3 2"'
loop_
_atom_site_label
_atom_site_fract_x
_atom_site_fract_y
_atom_site_fract_z
Al1 0.0000 0.0000 0.1216
Al2 0.0000 0.0000 0.3718
Co1 0.0000 0.0000 0.5000
Ni1 0.0000 0.0000 0.2466
```

Peak list (10 most intense, 2θ = 10–80°, most intense first)
2θ 44.84, intensity 1000; 2θ 45.26, intensity 950; 2θ 13.59, intensity 338; 2θ 65.61, intensity 295; 2θ 31.43, intensity 218; 2θ 27.05, intensity 210; 2θ 25.85, intensity 172; 2θ 41.36, intensity 121; 2θ 47.07, intensity 82; 2θ 34.39, intensity 76

Entry 7:
Computed X-ray powder pattern of CdAg2S2O6 for Cu Kα (λ = 1.5418 Å), from a structure optimized by DFT (GGA-PBE).
Lines closer than 0.1° are merged.

Crystal structure
```
data_CdAg2S2O6
_chemical_formula_sum 'Cd1 Ag2 S2 O6'
_cell_length_a 4.2772
_cell_length_b 4.2772
_cell_length_c 11.1981
_cell_angle_alpha 90.00
_cell_angle_beta 90.00
_cell_angle_gamma 120.00
_space_group_name_H-M_alt 'P -3 m 1'
_space_group_IT_number 164
_space_group_name_Hall '-P 3 2"'
loop_
_atom_site_label
_atom_site_fract_x
_atom_site_fract_y
_atom_site_fract_z
Cd1 0.0000 0.0000 0.0000
Ag1 0.3333 0.6667 0.6338
S1 0.3333 0.6667 0.4131
O1 0.1927 0.3854 0.8396
```

Peak list (10 most intense, 2θ = 10–80°, most intense first)
2θ 25.33, intensity 1000; 2θ 42.26, intensity 255; 2θ 40.39, intensity 254; 2θ 49.10, intensity 236; 2θ 28.90, intensity 236; 2θ 59.84, intensity 198; 2θ 47.44, intensity 130; 2θ 67.41, intensity 117; 2θ 52.01, intensity 111; 2θ 23.84, intensity 105

Entry 8:
Computed X-ray powder pattern of Ba4Tl12In for Cu Kα (λ = 1.5418 Å), from a structure optimized by DFT (GGA-PBE).
Lines closer than 0.1° are merged.

Crystal structure
```
data_Ba4Tl12In
_chemical_formula_sum 'Ba8 Tl24 In2'
_cell_length_a 10.4835
_cell_length_b 10.4835
_cell_length_c 10.4835
_cell_angle_alpha 90.00
_cell_angle_beta 90.00
_cell_angle_gamma 90.00
_space_group_name_H-M_alt 'I m -3 m'
_space_group_IT_number 229
_space_group_name_Hall '-I 4 2 3'
loop_
_atom_site_label
_atom_site_fract_x
_atom_site_fract_y
_atom_site_fract_z
Ba1 0.2500 0.2500 0.2500
Tl1 0.0000 0.0000 0.3061
Tl2 0.0000 0.2500 0.5000
In1 0.0000 0.0000 0.0000
```

Peak list (10 most intense, 2θ = 10–80°, most intense first)
2θ 29.52, intensity 1000; 2θ 34.21, intensity 588; 2θ 49.16, intensity 328; 2θ 58.39, intensity 285; 2θ 40.35, intensity 170; 2θ 36.36, intensity 157; 2θ 31.94, intensity 138; 2θ 65.42, intensity 129; 2θ 59.83, intensity 114; 2θ 16.91, intensity 101

Entry 9:
Computed X-ray powder pattern of TbPu3 for Cu Kα (λ = 1.5418 Å), from a structure optimized by DFT (GGA-PBE).
Lines closer than 0.1° are merged.

Crystal structure
```
data_TbPu3
_chemical_formula_sum 'Tb1 Pu3'
_cell_length_a 3.7940
_cell_length_b 4.9560
_cell_length_c 5.3298
_cell_angle_alpha 90.00
_cell_angle_beta 90.00
_cell_angle_gamma 90.00
_space_group_name_H-M_alt 'P m m 2'
_space_group_IT_number 25
loop_
_space_group_symop_operation_xyz
'x,y,z'
'-x,-y,z'
'-x,y,z'
'x,-y,z'
loop_
_atom_site_label
_atom_site_fract_x
_atom_site_fract_y
_atom_site_fract_z
Tb1 0.0000 0.0000 0.0000
Pu1 0.0000 0.5000 0.4757
Pu2 0.5000 0.0000 0.4882
Pu3 0.5000 0.5000 0.7754
```

Peak list (10 most intense, 2θ = 10–80°, most intense first)
2θ 34.19, intensity 1000; 2θ 36.25, intensity 307; 2θ 16.63, intensity 282; 2θ 45.44, intensity 244; 2θ 63.89, intensity 170; 2θ 47.96, intensity 142; 2θ 61.57, intensity 136; 2θ 24.53, intensity 133; 2θ 38.35, intensity 116; 2θ 28.89, intensity 116

Entry 10:
Computed X-ray powder pattern of K9Au2O3 for Cu Kα (λ = 1.5418 Å), from a structure optimized by DFT (GGA-PBE).
Lines closer than 0.1° are merged.

Crystal structure
```
data_K9Au2O3
_chemical_formula_sum 'K36 Au8 O12'
_cell_length_a 20.1854
_cell_length_b 8.5059
_cell_length_c 12.3209
_cell_angle_alpha 90.00
_cell_angle_beta 120.86
_cell_angle_gamma 90.00
_space_group_name_H-M_alt 'C 1 2/c 1'
_space_group_IT_number 15
loop_
_space_group_symop_operation_xyz
'x,y,z'
'-x,-y,-z'
'-x,y,-z+1/2'
'x,-y,z+1/2'
'x+1/2,y+1/2,z'
'-x+1/2,-y+1/2,-z'
'-x+1/2,y+1/2,-z+1/2'
'x+1/2,-y+1/2,z+1/2'
loop_
_atom_site_label
_atom_site_fract_x
_atom_site_fract_y
_atom_site_fract_z
K1 0.0000 0.1198 0.2500
K2 0.0661 0.4428 0.4362
K3 0.1318 0.1250 0.0134
K4 0.1742 0.2388 0.7372
K5 0.2500 0.0714 0.4722
Au1 0.1253 0.3727 0.2134
O1 0.1346 0.1828 0.4918
O2 0.2500 0.2500 0.0000
```

Peak list (10 most intense, 2θ = 10–80°, most intense first)
2θ 22.53, intensity 1000; 2θ 11.59, intensity 819; 2θ 32.80, intensity 751; 2θ 33.52, intensity 704; 2θ 15.78, intensity 672; 2θ 19.03, intensity 651; 2θ 12.67, intensity 605; 2θ 20.50, intensity 580; 2θ 27.51, intensity 539; 2θ 30.37, intensity 535

Copy entry 3 word for word.
Computed X-ray powder pattern of Pa5Bi2Te5 for Cu Kα (λ = 1.5418 Å), from a structure optimized by DFT (GGA-PBE).
Lines closer than 0.1° are merged.

Crystal structure
```
data_Pa5Bi2Te5
_chemical_formula_sum 'Pa10 Bi4 Te10'
_cell_length_a 13.4838
_cell_length_b 4.2242
_cell_length_c 13.7061
_cell_angle_alpha 90.00
_cell_angle_beta 102.45
_cell_angle_gamma 90.00
_space_group_name_H-M_alt 'C 1 2/m 1'
_space_group_IT_number 12
loop_
_space_group_symop_operation_xyz
'x,y,z'
'-x,-y,-z'
'-x,y,-z'
'x,-y,z'
'x+1/2,y+1/2,z'
'-x+1/2,-y+1/2,-z'
'-x+1/2,y+1/2,-z'
'x+1/2,-y+1/2,z'
loop_
_atom_site_label
_atom_site_fract_x
_atom_site_fract_y
_atom_site_fract_z
Pa1 0.0000 0.0000 0.0000
Pa2 0.1404 0.0000 0.4374
Pa3 0.1948 0.5000 0.8187
Bi1 0.0067 0.0000 0.7773
Te1 0.0000 0.5000 0.5000
Te2 0.1638 0.5000 0.0529
Te3 0.2489 0.0000 0.6657
```

Peak list (10 most intense, 2θ = 10–80°, most intense first)
2θ 29.10, intensity 1000; 2θ 36.03, intensity 970; 2θ 30.39, intensity 847; 2θ 31.09, intensity 752; 2θ 42.82, intensity 560; 2θ 27.15, intensity 436; 2θ 29.35, intensity 371; 2θ 26.44, intensity 364; 2θ 22.10, intensity 349; 2θ 21.52, intensity 297